1.
Structure and simulated X-ray diffraction stick pattern of Sm3Ga5Cu6 (a GGA-PBE-relaxed structure; Cu Ka).
Lines closer than 0.1° are merged.

Structure:
a b c (Å): 4.3464 8.7534 12.8308
angles (deg): 90.00 90.00 90.00
Space group Immm (No. 71)
Unique sites:
Sm: 0.0000 0.0000 0.0000
Sm: 0.0000 0.0000 0.3022
Ga: 0.0000 0.3539 0.3388
Ga: 0.0000 0.5000 0.0000
Cu: 0.0000 0.1896 0.5000
Cu: 0.0000 0.2812 0.1317

Principal peaks in the range 15° ≤ 2θ ≤ 90°, sorted by position:
hkl 1 0 3, 2θ = 29.30°, I = 28.8; hkl 0 2 4, 2θ = 34.67°, I = 28.1; hkl 1 2 3, 2θ = 35.90°, I = 100.0; hkl 1 1 4, 2θ = 36.29°, I = 26.7; hkl 1 3 0, 2θ = 37.11°, I = 42.6; hkl 0 3 3, 2θ = 37.31°, I = 33.2; hkl 1 3 2, 2θ = 39.77°, I = 27.1; hkl 2 0 0, 2θ = 41.55°, I = 51.4; hkl 0 0 6, 2θ = 42.26°, I = 22.5; hkl 1 4 1, 2θ = 47.02°, I = 21.8

2.
Structure and simulated X-ray diffraction stick pattern of NaGaSn (a GGA-PBE-relaxed structure; Cu Ka).
Lines closer than 0.1° are merged.

Structure:
a b c (Å): 4.8469 8.0074 7.8396
angles (deg): 90.00 90.00 90.00
Space group Ima2 (No. 46)
Unique sites:
Na: 0.2500 0.1823 0.0000
Ga: 0.2500 0.5699 0.8287
Sn: 0.2500 0.6085 0.1885

Principal peaks in the range 15° ≤ 2θ ≤ 90°, sorted by position:
hkl 0 1 1, 2θ = 15.82°, I = 86.3; hkl 1 1 0, 2θ = 21.43°, I = 77.3; hkl 0 0 2, 2θ = 22.69°, I = 51.4; hkl 1 2 1, 2θ = 31.14°, I = 100.0; hkl 1 1 2, 2θ = 31.41°, I = 80.5; hkl 0 1 3, 2θ = 36.16°, I = 78.9; hkl 2 0 0, 2θ = 37.10°, I = 64.3; hkl 1 3 0, 2θ = 38.50°, I = 83.8; hkl 1 2 3, 2θ = 45.48°, I = 71.2; hkl 2 1 3, 2θ = 52.77°, I = 53.3

3.
Structure and simulated X-ray diffraction stick pattern of Ga3Cu4Au2 (a GGA-PBE-relaxed structure; Cu Ka).
Lines closer than 0.1° are merged.

Structure:
a b c (Å): 9.1248 13.5271 4.8079
angles (deg): 90.00 106.36 90.00
Space group C2/c (No. 15)
Unique sites:
Ga: 0.0000 0.1448 0.2500
Ga: 0.1582 0.3696 0.6403
Cu: 0.1053 0.4446 0.1240
Cu: 0.1427 0.0074 0.0078
Au: 0.1660 0.1856 0.7670

Principal peaks in the range 15° ≤ 2θ ≤ 90°, sorted by position:
hkl 3 1 -1, 2θ = 32.02°, I = 100.0; hkl 1 5 0, 2θ = 34.68°, I = 54.8; hkl 0 2 2, 2θ = 41.38°, I = 59.0; hkl 3 1 1, 2θ = 41.55°, I = 59.8; hkl 2 4 1, 2θ = 41.84°, I = 29.6; hkl 1 3 -2, 2θ = 42.61°, I = 66.0; hkl 0 6 1, 2θ = 44.74°, I = 47.1; hkl 3 5 0, 2θ = 45.73°, I = 58.7; hkl 3 5 -1, 2θ = 46.22°, I = 40.0; hkl 3 3 -2, 2θ = 47.31°, I = 30.7

4.
Structure and simulated X-ray diffraction stick pattern of InReH5 (a GGA-PBE-relaxed structure; Cu Ka).
Lines closer than 0.1° are merged.

Structure:
a b c (Å): 5.7970 5.8094 3.7441
angles (deg): 90.00 90.00 90.00
Space group Imm2 (No. 44)
Unique sites:
In: 0.0000 0.0000 0.0000
Re: 0.0000 0.5000 0.7515
H: 0.0000 0.2288 0.5890
H: 0.0000 0.5000 0.2524
H: 0.2277 0.0000 0.4126

Principal peaks in the range 15° ≤ 2θ ≤ 90°, sorted by position:
hkl 1 1 0, 2θ = 21.66°, I = 9.1; hkl 1 0 1, 2θ = 28.37°, I = 100.0; hkl 2 0 0, 2θ = 30.82°, I = 79.4; hkl 1 2 1, 2θ = 42.38°, I = 68.5; hkl 2 2 0, 2θ = 44.14°, I = 28.7; hkl 3 0 1, 2θ = 53.31°, I = 17.7; hkl 1 1 2, 2θ = 53.83°, I = 32.8; hkl 3 2 1, 2θ = 62.85°, I = 21.5; hkl 3 1 2, 2θ = 72.07°, I = 27.2; hkl 2 1 3, 2θ = 86.54°, I = 9.2

5.
Structure and simulated X-ray diffraction stick pattern of Nb6FeTc (a GGA-PBE-relaxed structure; Cu Ka).
Lines closer than 0.1° are merged.

Structure:
a b c (Å): 4.5581 4.5581 13.0424
angles (deg): 90.00 90.00 90.00
Space group I4/mmm (No. 139)
Unique sites:
Nb: 0.0000 0.0000 0.2497
Nb: 0.0000 0.5000 0.1192
Fe: 0.0000 0.0000 0.0000
Tc: 0.0000 0.0000 0.5000

Principal peaks in the range 15° ≤ 2θ ≤ 90°, sorted by position:
hkl 1 0 1, 2θ = 20.64°, I = 1.7; hkl 1 1 2, 2θ = 30.95°, I = 1.3; hkl 1 1 4, 2θ = 39.31°, I = 100.0; hkl 2 0 0, 2θ = 39.54°, I = 49.7; hkl 0 0 8, 2θ = 56.44°, I = 8.2; hkl 2 2 0, 2θ = 57.16°, I = 16.4; hkl 2 0 8, 2θ = 71.10°, I = 15.9; hkl 3 1 4, 2θ = 71.57°, I = 32.3; hkl 2 2 8, 2θ = 84.54°, I = 10.0; hkl 4 0 0, 2θ = 85.15°, I = 5.1

6.
Structure and simulated X-ray diffraction stick pattern of La2Ga2I (a GGA-PBE-relaxed structure; Cu Ka).
Lines closer than 0.1° are merged.

Structure:
a b c (Å): 4.3246 4.3246 26.2826
angles (deg): 90.00 90.00 120.00
Space group R-3m (No. 166, hexagonal axes)
Unique sites:
La: 0.0000 0.0000 0.0800
Ga: 0.0000 0.0000 0.3257
I: 0.0000 0.0000 0.5000

Principal peaks in the range 15° ≤ 2θ ≤ 90°, sorted by position:
hkl 0 1 2, 2θ = 24.72°, I = 26.6; hkl 0 1 5, 2θ = 29.28°, I = 100.0; hkl 1 0 7, 2θ = 33.80°, I = 56.1; hkl 0 0 12, 2θ = 41.22°, I = 17.2; hkl 1 1 0, 2θ = 41.77°, I = 56.1; hkl 2 0 5, 2θ = 51.83°, I = 20.0; hkl 0 2 7, 2θ = 54.76°, I = 17.0; hkl 1 1 12, 2θ = 60.13°, I = 33.4; hkl 1 2 5, 2θ = 68.67°, I = 17.0; hkl 2 1 7, 2θ = 71.18°, I = 14.1

7.
Structure and simulated X-ray diffraction stick pattern of MnGePbBr2 (a GGA-PBE-relaxed structure; Cu Ka).
Lines closer than 0.1° are merged.

Structure:
a b c (Å): 5.7772 5.7772 5.6263
angles (deg): 90.00 90.00 90.00
Space group P4/mmm (No. 123)
Unique sites:
Mn: 0.0000 0.0000 0.0000
Ge: 0.5000 0.5000 0.0000
Pb: 0.0000 0.0000 0.5000
Br: 0.0000 0.5000 0.5000

Principal peaks in the range 15° ≤ 2θ ≤ 90°, sorted by position:
hkl 1 0 0, 2θ = 15.34°, I = 71.4; hkl 0 0 1, 2θ = 15.75°, I = 54.9; hkl 1 0 1, 2θ = 22.05°, I = 89.9; hkl 2 0 0, 2θ = 30.96°, I = 100.0; hkl 0 0 2, 2θ = 31.81°, I = 46.5; hkl 2 0 1, 2θ = 34.92°, I = 32.5; hkl 2 1 1, 2θ = 38.34°, I = 45.5; hkl 2 2 0, 2θ = 44.35°, I = 36.9; hkl 2 0 2, 2θ = 44.98°, I = 70.9; hkl 2 2 2, 2θ = 55.60°, I = 37.5

8.
Structure and simulated X-ray diffraction stick pattern of CePm3Pr3Se8 (a GGA-PBE-relaxed structure; Cu Ka).
Lines closer than 0.1° are merged.

Structure:
a b c (Å): 8.4359 8.4359 20.7046
angles (deg): 90.00 90.00 120.00
Space group R-3m (No. 166, hexagonal axes)
Unique sites:
Ce: 0.0000 0.0000 0.0000
Pm: 0.0000 0.5000 0.0000
Pr: 0.0000 0.5000 0.5000
Se: 0.0000 0.0000 0.2518
Se: 0.0053 0.5026 0.2506

Principal peaks in the range 15° ≤ 2θ ≤ 90°, sorted by position:
hkl 2 0 2, 2θ = 25.85°, I = 9.5; hkl 0 2 4, 2θ = 29.94°, I = 100.0; hkl 2 2 0, 2θ = 42.85°, I = 74.5; hkl 2 2 6, 2θ = 50.73°, I = 4.9; hkl 0 0 12, 2θ = 53.08°, I = 6.6; hkl 4 0 4, 2θ = 53.18°, I = 19.7; hkl 0 4 8, 2θ = 62.21°, I = 12.2; hkl 2 4 4, 2θ = 70.56°, I = 33.5; hkl 0 2 16, 2θ = 78.40°, I = 6.3; hkl 6 0 0, 2θ = 78.54°, I = 18.7